# 1
Structure and computed XRD peak list of InCu6Si (DFT lattice parameters and positions (GGA-PBE); Cu Ka).

The 8 most intense peaks (2θ from 10° to 90°), in order of rising 2θ:
(1 1 1), 2θ 33.3, I = 16
(0 2 1), 2θ 37.2, I = 22
(0 0 2), 2θ 39.5, I = 16
(1 2 1), 2θ 43.4, I = 100
(2 0 0), 2θ 44.2, I = 31
(1 0 2), 2θ 45.5, I = 36
(3 2 1), 2θ 80.8, I = 16
(2 2 3), 2θ 86.8, I = 13

Cell and atoms:
Lattice parameters (Å, degrees): 4.0955 5.7114 4.5586 90.00 90.00 90.00
Space group Pmm2 (No. 25)
Asymmetric unit:
In1 0.0000 0.0000 0.0000 [1 per cell]
Cu1 0.0000 0.2748 0.5080 [2 per cell]
Cu2 0.0000 0.5000 0.0273 [1 per cell]
Cu3 0.5000 0.0000 0.3996 [1 per cell]
Cu4 0.5000 0.2789 0.8445 [2 per cell]
Si1 0.5000 0.5000 0.3476 [1 per cell]


# 2
Structure and computed XRD peak list of SmInCu4 (DFT lattice parameters and positions (GGA-PBE); Cu Ka).

The 8 most intense peaks (2θ from 10° to 90°), in order of rising 2θ:
(2 2 0), 2θ 34.7, I = 52
(3 1 1), 2θ 40.9, I = 100
(2 2 2), 2θ 42.8, I = 21
(4 2 2), 2θ 62.1, I = 19
(5 1 1), 2θ 66.4, I = 30
(4 4 0), 2θ 73.1, I = 23
(6 2 0), 2θ 83.5, I = 8
(5 3 3), 2θ 87.4, I = 11

Cell and atoms:
Lattice parameters (Å, degrees): 7.3193 7.3193 7.3193 90.00 90.00 90.00
Space group F-43m (No. 216)
Asymmetric unit:
Sm1 0.0000 0.0000 0.0000 [4 per cell]
In1 0.2500 0.2500 0.2500 [4 per cell]
Cu1 0.1243 0.1243 0.6243 [16 per cell]


# 3
Structure and computed XRD peak list of SmIn2Cu6 (DFT lattice parameters and positions (GGA-PBE); Cu Ka).

The 8 most intense peaks (2θ from 10° to 90°), in order of rising 2θ:
(0 1 3), 2θ 24.9, I = 21
(1 1 2), 2θ 31.0, I = 69
(1 2 1), 2θ 36.5, I = 100
(1 1 4), 2θ 39.8, I = 74
(0 0 6), 2θ 43.0, I = 28
(0 3 3), 2θ 45.3, I = 65
(2 0 0), 2θ 49.3, I = 30
(2 3 3), 2θ 69.2, I = 34

Cell and atoms:
Lattice parameters (Å, degrees): 3.6941 6.8297 12.6198 90.00 90.00 90.00
Space group Immm (No. 71)
Asymmetric unit:
Sm1 0.0000 0.0000 0.0000 [2 per cell]
In1 0.0000 0.5000 0.1367 [4 per cell]
Cu1 0.0000 0.1762 0.5000 [4 per cell]
Cu2 0.0000 0.3117 0.3202 [8 per cell]


# 4
Structure and computed XRD peak list of Sm11In9Cu4 (DFT lattice parameters and positions (GGA-PBE); Cu Ka).

The 8 most intense peaks (2θ from 10° to 90°), in order of rising 2θ:
(2 4 1), 2θ 31.1, I = 10
(3 3 1), 2θ 32.2, I = 13
(0 6 1), 2θ 33.9, I = 100
(4 6 0), 2θ 34.4, I = 40
(3 5 1), 2θ 36.1, I = 13
(6 2 0), 2θ 37.5, I = 11
(0 0 2), 2θ 48.0, I = 16
(4 6 2), 2θ 60.4, I = 15

Cell and atoms:
Lattice parameters (Å, degrees): 14.7434 22.1535 3.7881 90.00 90.00 90.00
Space group Cmmm (No. 65)
Asymmetric unit:
Sm1 0.0000 0.0000 0.0000 [2 per cell]
Sm2 0.0000 0.1622 0.0000 [4 per cell]
Sm3 0.0000 0.3728 0.0000 [4 per cell]
Sm4 0.1915 0.5000 0.0000 [4 per cell]
Sm5 0.2421 0.1718 0.0000 [8 per cell]
In1 0.0000 0.5000 0.5000 [2 per cell]
In2 0.1044 0.2646 0.5000 [8 per cell]
In3 0.1472 0.0713 0.5000 [8 per cell]
Cu1 0.1513 0.3997 0.5000 [8 per cell]